Simulated XRD peak list of V2NiH8O10 for Cu Kα, 1.54184 Å, from the GGA+U geometry in the Materials Project.

Principal peaks in the range 10 to 80 degrees two-theta, low angle first:
| 2θ (°) | I_rel |
| --- | --- |
| 11.24 | 100 |
| 15.21 | 41 |
| 19.74 | 18 |
| 21.85 | 21 |
| 22.56 | 23 |
| 26.80 | 23 |
| 28.76 | 15 |
| 28.85 | 13 |
| 31.40 | 13 |
| 32.34 | 14 |

Atomic structure:
```
data_V2NiH8O10
_cell_length_a 7.1273
_cell_length_b 8.3548
_cell_length_c 8.3928
_cell_angle_alpha 76.60
_cell_angle_beta 71.89
_cell_angle_gamma 72.06
_symmetry_space_group_name_H-M 'P -1'
_symmetry_Int_Tables_number 2
loop_
_symmetry_equiv_pos_as_xyz
'x,y,z'
'-x,-y,-z'
loop_
_atom_site_label
_atom_site_type_symbol
_atom_site_fract_x
_atom_site_fract_y
_atom_site_fract_z
V1 V 0.1931 0.3655 0.4302
V2 V 0.3063 0.5643 0.6447
Ni1 Ni 0.0000 0.0000 0.5000
Ni2 Ni 0.5000 0.5000 0.0000
H1 H 0.0982 0.6375 0.0399
H2 H 0.1751 0.8511 0.7366
H3 H 0.1778 0.1456 0.0711
H4 H 0.2331 0.1992 0.9974
H5 H 0.2711 0.0034 0.8016
H6 H 0.3162 0.9294 0.8606
H7 H 0.3368 0.2421 0.1684
H8 H 0.4153 0.9250 0.3691
O1 O 0.0632 0.5171 0.6093
O2 O 0.1079 0.7435 0.0653
O3 O 0.1659 0.8046 0.6431
O4 O 0.1756 0.1706 0.5114
O5 O 0.1928 0.9233 0.2899
O6 O 0.3091 0.7099 0.0757
O7 O 0.3224 0.4891 0.8440
O8 O 0.3274 0.3496 0.2033
O9 O 0.3898 0.9464 0.2560
O10 O 0.4188 0.3978 0.4787
```

Simulated XRD peak list of V2NiH8O10 for Cu Kα, 1.54184 Å, from the GGA+U geometry in the Materials Project.

Principal peaks in the range 10 to 80 degrees two-theta, low angle first:
| 2θ (°) | I_rel |
| --- | --- |
| 11.17 | 100 |
| 15.31 | 43 |
| 19.80 | 13 |
| 21.87 | 14 |
| 22.47 | 24 |
| 26.64 | 18 |
| 28.68 | 18 |
| 29.05 | 11 |
| 31.46 | 12 |
| 31.52 | 12 |

Atomic structure:
```
data_V2NiH8O10
_cell_length_a 13.2118
_cell_length_b 10.4415
_cell_length_c 7.0358
_cell_angle_alpha 90.00
_cell_angle_beta 113.02
_cell_angle_gamma 90.00
_symmetry_space_group_name_H-M 'C 1 2/c 1'
_symmetry_Int_Tables_number 15
loop_
_symmetry_equiv_pos_as_xyz
'x,y,z'
'-x,-y,-z'
'-x,y,-z+1/2'
'x,-y,z+1/2'
'x+1/2,y+1/2,z'
'-x+1/2,-y+1/2,-z'
'-x+1/2,y+1/2,-z+1/2'
'x+1/2,-y+1/2,z+1/2'
loop_
_atom_site_label
_atom_site_type_symbol
_atom_site_fract_x
_atom_site_fract_y
_atom_site_fract_z
V1 V 0.1065 0.0331 0.1999
Ni1 Ni 0.2500 0.2500 0.0000
H1 H 0.0931 0.4128 0.2911
H2 H 0.1117 0.4774 0.3377
H3 H 0.1483 0.3126 0.5815
H4 H 0.1993 0.4645 0.1554
O1 O 0.0608 0.0388 0.4272
O2 O 0.0849 0.3369 0.6151
O3 O 0.1007 0.2737 0.7970
O4 O 0.1682 0.1700 0.1868
O5 O 0.2338 0.0727 0.8477
```

Simulated XRD peak list of V2NiH8O10 for Cu Kα, 1.54184 Å, from the GGA+U geometry in the Materials Project.

Principal peaks in the range 10 to 80 degrees two-theta, low angle first:
| 2θ (°) | I_rel |
| --- | --- |
| 12.11 | 100 |
| 15.86 | 31 |
| 23.09 | 19 |
| 29.27 | 12 |
| 31.53 | 22 |
| 31.97 | 12 |
| 33.39 | 9 |
| 35.49 | 11 |
| 39.34 | 8 |
| 44.82 | 8 |

Atomic structure:
```
data_V2NiH8O10
_cell_length_a 13.1219
_cell_length_b 9.1602
_cell_length_c 7.1617
_cell_angle_alpha 90.00
_cell_angle_beta 112.37
_cell_angle_gamma 90.00
_symmetry_space_group_name_H-M 'C 1 2/c 1'
_symmetry_Int_Tables_number 15
loop_
_symmetry_equiv_pos_as_xyz
'x,y,z'
'-x,-y,-z'
'-x,y,-z+1/2'
'x,-y,z+1/2'
'x+1/2,y+1/2,z'
'-x+1/2,-y+1/2,-z'
'-x+1/2,y+1/2,-z+1/2'
'x+1/2,-y+1/2,z+1/2'
loop_
_atom_site_label
_atom_site_type_symbol
_atom_site_fract_x
_atom_site_fract_y
_atom_site_fract_z
V1 V 0.1114 0.0082 0.2069
Ni1 Ni 0.2500 0.2500 0.0000
H1 H 0.0700 0.4092 0.2475
H2 H 0.0833 0.2446 0.4778
H3 H 0.1265 0.4353 0.3107
H4 H 0.1868 0.4710 0.5993
O1 O 0.0628 0.0520 0.4232
O2 O 0.0950 0.3144 0.5904
O3 O 0.1051 0.2132 0.7510
O4 O 0.1613 0.1653 0.1608
O5 O 0.2441 0.4533 0.1210
```

Simulated XRD peak list of V2P2H6PbO14 for Cu Kα, 1.54184 Å, from the GGA+U geometry in the Materials Project.

Principal peaks in the range 10 to 80 degrees two-theta, low angle first:
| 2θ (°) | I_rel |
| --- | --- |
| 14.67 | 100 |
| 16.44 | 60 |
| 19.90 | 28 |
| 20.27 | 27 |
| 22.34 | 63 |
| 23.81 | 41 |
| 25.83 | 47 |
| 26.03 | 49 |
| 29.59 | 31 |
| 32.94 | 35 |

Atomic structure:
```
data_V2P2H6PbO14
_cell_length_a 8.9575
_cell_length_b 8.9224
_cell_length_c 14.0008
_cell_angle_alpha 90.00
_cell_angle_beta 102.06
_cell_angle_gamma 90.00
_symmetry_space_group_name_H-M 'C 1 c 1'
_symmetry_Int_Tables_number 9
loop_
_symmetry_equiv_pos_as_xyz
'x,y,z'
'x,-y,z+1/2'
'x+1/2,y+1/2,z'
'x+1/2,-y+1/2,z+1/2'
loop_
_atom_site_label
_atom_site_type_symbol
_atom_site_fract_x
_atom_site_fract_y
_atom_site_fract_z
V1 V 0.0000 0.1044 0.0000
V2 V 0.4652 0.1115 0.8987
P1 P 0.2291 0.1419 0.4434
P2 P 0.2293 0.3586 0.9466
H1 H 0.0295 0.0971 0.2102
H2 H 0.2381 0.1738 0.1813
H3 H 0.2893 0.4598 0.7540
H4 H 0.2977 0.3369 0.1820
H5 H 0.4213 0.0292 0.6866
H6 H 0.4555 0.2010 0.6852
Pb1 Pb 0.1152 0.2274 0.6904
O1 O 0.9997 0.3781 0.5158
O2 O 0.0634 0.1186 0.1504
O3 O 0.1015 0.2321 0.3739
O4 O 0.1095 0.4626 0.8814
O5 O 0.1500 0.2603 0.0106
O6 O 0.1617 0.0510 0.5188
O7 O 0.2217 0.4513 0.6897
O8 O 0.2962 0.2608 0.8724
O9 O 0.3048 0.0381 0.3780
O10 O 0.3367 0.2340 0.1983
O11 O 0.3451 0.2472 0.5069
O12 O 0.3551 0.4461 0.0153
O13 O 0.4064 0.1231 0.7194
O14 O 0.4668 0.4098 0.3812
```

Simulated XRD peak list of V2P2H6PbO14 for Cu Kα, 1.54184 Å, from the GGA+U geometry in the Materials Project.

Principal peaks in the range 10 to 80 degrees two-theta, low angle first:
| 2θ (°) | I_rel |
| --- | --- |
| 14.73 | 95 |
| 16.23 | 55 |
| 19.82 | 30 |
| 22.04 | 55 |
| 23.49 | 41 |
| 25.08 | 100 |
| 28.45 | 27 |
| 31.92 | 42 |
| 32.20 | 31 |
| 38.05 | 29 |

Atomic structure:
```
data_V2P2H6PbO14
_cell_length_a 8.8596
_cell_length_b 8.9600
_cell_length_c 14.4297
_cell_angle_alpha 90.00
_cell_angle_beta 100.49
_cell_angle_gamma 90.00
_symmetry_space_group_name_H-M 'C 1 c 1'
_symmetry_Int_Tables_number 9
loop_
_symmetry_equiv_pos_as_xyz
'x,y,z'
'x,-y,z+1/2'
'x+1/2,y+1/2,z'
'x+1/2,-y+1/2,z+1/2'
loop_
_atom_site_label
_atom_site_type_symbol
_atom_site_fract_x
_atom_site_fract_y
_atom_site_fract_z
V1 V 0.0000 0.1088 0.0000
V2 V 0.4679 0.1224 0.9021
P1 P 0.2305 0.3637 0.9501
P2 P 0.2322 0.1345 0.4454
H1 H 0.2454 0.1787 0.1852
H2 H 0.2515 0.4775 0.7682
H3 H 0.2967 0.3452 0.1930
H4 H 0.4514 0.4299 0.6689
H5 H 0.4562 0.0419 0.7085
H6 H 0.4818 0.2158 0.7071
Pb1 Pb 0.1216 0.2350 0.6814
O1 O 0.0007 0.3670 0.5163
O2 O 0.0344 0.1204 0.1445
O3 O 0.1066 0.2244 0.3783
O4 O 0.1149 0.4698 0.8873
O5 O 0.1501 0.2634 0.0123
O6 O 0.1624 0.0445 0.5192
O7 O 0.2201 0.4680 0.6998
O8 O 0.2993 0.2674 0.8768
O9 O 0.3105 0.0306 0.3823
O10 O 0.3383 0.2415 0.2020
O11 O 0.3435 0.2413 0.5063
O12 O 0.3541 0.4495 0.0176
O13 O 0.4248 0.1346 0.7354
O14 O 0.4658 0.4077 0.3850
```

Copy entry 5 word for word.
Simulated XRD peak list of V2P2H6PbO14 for Cu Kα, 1.54184 Å, from the GGA+U geometry in the Materials Project.

Principal peaks in the range 10 to 80 degrees two-theta, low angle first:
| 2θ (°) | I_rel |
| --- | --- |
| 14.73 | 95 |
| 16.23 | 55 |
| 19.82 | 30 |
| 22.04 | 55 |
| 23.49 | 41 |
| 25.08 | 100 |
| 28.45 | 27 |
| 31.92 | 42 |
| 32.20 | 31 |
| 38.05 | 29 |

Atomic structure:
```
data_V2P2H6PbO14
_cell_length_a 8.8596
_cell_length_b 8.9600
_cell_length_c 14.4297
_cell_angle_alpha 90.00
_cell_angle_beta 100.49
_cell_angle_gamma 90.00
_symmetry_space_group_name_H-M 'C 1 c 1'
_symmetry_Int_Tables_number 9
loop_
_symmetry_equiv_pos_as_xyz
'x,y,z'
'x,-y,z+1/2'
'x+1/2,y+1/2,z'
'x+1/2,-y+1/2,z+1/2'
loop_
_atom_site_label
_atom_site_type_symbol
_atom_site_fract_x
_atom_site_fract_y
_atom_site_fract_z
V1 V 0.0000 0.1088 0.0000
V2 V 0.4679 0.1224 0.9021
P1 P 0.2305 0.3637 0.9501
P2 P 0.2322 0.1345 0.4454
H1 H 0.2454 0.1787 0.1852
H2 H 0.2515 0.4775 0.7682
H3 H 0.2967 0.3452 0.1930
H4 H 0.4514 0.4299 0.6689
H5 H 0.4562 0.0419 0.7085
H6 H 0.4818 0.2158 0.7071
Pb1 Pb 0.1216 0.2350 0.6814
O1 O 0.0007 0.3670 0.5163
O2 O 0.0344 0.1204 0.1445
O3 O 0.1066 0.2244 0.3783
O4 O 0.1149 0.4698 0.8873
O5 O 0.1501 0.2634 0.0123
O6 O 0.1624 0.0445 0.5192
O7 O 0.2201 0.4680 0.6998
O8 O 0.2993 0.2674 0.8768
O9 O 0.3105 0.0306 0.3823
O10 O 0.3383 0.2415 0.2020
O11 O 0.3435 0.2413 0.5063
O12 O 0.3541 0.4495 0.0176
O13 O 0.4248 0.1346 0.7354
O14 O 0.4658 0.4077 0.3850
```